No. 1
NdSiAgO4: computed powder XRD pattern (a wavelength of 1.5418 Å), based on the GGA-PBE geometry in Alexandria.
Intensities are scaled so that the largest is 100.

Main lines, by intensity (2θ = 5–70°):
| d_spacing | Rel. int. |
| --- | --- |
| 3.425 | 100.0 |
| 2.921 | 96.7 |
| 3.111 | 73.0 |
| 4.874 | 56.2 |
| 6.613 | 54.0 |
| 1.854 | 41.7 |

Structural model:
Unit cell a=6.0796 b=6.2211 c=6.7123 alpha=90.00 beta=99.87 gamma=90.00
Element x y z (fractional)
Nd: 0.1973 0.2500 0.0481
Nd: 0.8027 0.7500 0.9519
Si: 0.2800 0.7500 0.8503
Si: 0.7200 0.2500 0.1497
Ag: 0.4403 0.7500 0.3852
Ag: 0.5597 0.2500 0.6148
O: 0.1086 0.5435 0.8349
O: 0.1086 0.9565 0.8349
O: 0.4478 0.7500 0.0731
O: 0.4696 0.7500 0.7016
O: 0.5304 0.2500 0.2984
O: 0.5522 0.2500 0.9269
O: 0.8914 0.0435 0.1651
O: 0.8914 0.4565 0.1651

***

No. 2
Nd4TlAgO: computed powder XRD pattern (a wavelength of 1.5418 Å), based on the GGA-PBE geometry in Alexandria.
Intensities are scaled so that the largest is 100.

Main lines, by intensity (2θ = 5–70°):
| d_spacing | Rel. int. |
| --- | --- |
| 2.610 | 100.0 |
| 3.186 | 92.3 |
| 2.463 | 83.3 |
| 2.656 | 40.3 |
| 1.797 | 32.0 |
| 3.484 | 27.8 |

Structural model:
Unit cell a=8.6169 b=8.6169 c=6.9746 alpha=90.00 beta=90.00 gamma=132.36
Element x y z (fractional)
Nd: 0.0000 0.5000 0.0000
Nd: 0.0000 0.5000 0.5000
Nd: 0.0651 0.9349 0.7500
Nd: 0.4208 0.5792 0.7500
Nd: 0.5000 0.0000 0.0000
Nd: 0.5000 0.0000 0.5000
Nd: 0.5792 0.4208 0.2500
Nd: 0.9349 0.0651 0.2500
Tl: 0.3835 0.6165 0.2500
Tl: 0.6165 0.3835 0.7500
Ag: 0.1211 0.8789 0.2500
Ag: 0.8789 0.1211 0.7500
O: 0.2551 0.7449 0.7500
O: 0.7449 0.2551 0.2500

***

No. 3
Nd12Tl4AgO3: computed powder XRD pattern (a wavelength of 1.5418 Å), based on the GGA-PBE geometry in Alexandria.
Intensities are scaled so that the largest is 100.

Main lines, by intensity (2θ = 5–70°):
| d_spacing | Rel. int. |
| --- | --- |
| 2.981 | 100.0 |
| 2.581 | 65.7 |
| 1.825 | 45.6 |
| 1.557 | 41.6 |
| 1.490 | 15.1 |
| 3.651 | 7.5 |

Structural model:
Unit cell a=8.9422 b=8.9422 c=8.9422 alpha=109.47 beta=109.47 gamma=109.47
Element x y z (fractional)
Nd: 0.0000 0.2710 0.2710
Nd: 0.0000 0.7290 0.7290
Nd: 0.2500 0.5000 0.7500
Nd: 0.2500 0.7500 0.5000
Nd: 0.2710 0.0000 0.2710
Nd: 0.2710 0.2710 0.0000
Nd: 0.5000 0.2500 0.7500
Nd: 0.5000 0.7500 0.2500
Nd: 0.7290 0.0000 0.7290
Nd: 0.7290 0.7290 0.0000
Nd: 0.7500 0.2500 0.5000
Nd: 0.7500 0.5000 0.2500
Tl: 0.0000 0.0000 0.5000
Tl: 0.0000 0.5000 0.0000
Tl: 0.5000 0.0000 0.0000
Tl: 0.5000 0.5000 0.5000
Ag: 0.0000 0.0000 0.0000
O: 0.0000 0.5000 0.5000
O: 0.5000 0.0000 0.5000
O: 0.5000 0.5000 0.0000